No. 1
Calculated powder XRD pattern
Compound: MgIn6WO12
Radiation: CuKα
Structure: the GGA+U geometry in the Materials Project
Lines closer than 0.1° are merged.

Most intense lines, 10 to 90 degrees two-theta, by angle:
2θ = 19.8°, rel. 15.7
2θ = 23.6°, rel. 19.7
2θ = 24.8°, rel. 27.9
2θ = 30.5°, rel. 100.0
2θ = 31.5°, rel. 51.8
2θ = 33.8°, rel. 44.9
2θ = 52.1°, rel. 22.5
2θ = 52.4°, rel. 16.4
2θ = 53.3°, rel. 17.2
2θ = 54.7°, rel. 16.9

Structure:
```
MgIn6WO12
1.0
4.6465 2.6827 3.5962
-4.6465 2.6827 3.5962
0.0000 -5.3653 3.5962
Mg In W O
1 6 1 12
direct
0.0000 0.0000 0.0000
0.1800 0.6726 0.4889
0.1812 0.4490 0.9529
0.4490 0.9529 0.1812
0.4889 0.1800 0.6726
0.6726 0.4889 0.1800
0.9529 0.1812 0.4490
0.7306 0.7306 0.7306
0.0446 0.7202 0.8146
0.1289 0.9445 0.3063
0.2025 0.3624 0.6086
0.3063 0.1289 0.9445
0.3624 0.6086 0.2025
0.4686 0.8321 0.6114
0.6086 0.2025 0.3624
0.6114 0.4686 0.8321
0.7202 0.8146 0.0446
0.8146 0.0446 0.7202
0.8321 0.6114 0.4686
0.9445 0.3063 0.1289
```

=====

No. 2
Calculated powder XRD pattern
Compound: MgTi2Mn4O12
Radiation: CuKα
Structure: the GGA+U geometry in the Materials Project
Lines closer than 0.1° are merged.

Most intense lines, 10 to 90 degrees two-theta, by angle:
2θ = 17.2°, rel. 100.0
2θ = 33.8°, rel. 7.4
2θ = 35.2°, rel. 9.9
2θ = 37.4°, rel. 9.4
2θ = 37.6°, rel. 8.5
2θ = 38.7°, rel. 8.4
2θ = 40.8°, rel. 6.8
2θ = 41.4°, rel. 9.9
2θ = 47.8°, rel. 6.4
2θ = 61.3°, rel. 8.0

Structure:
```
MgTi2Mn4O12
1.0
5.1305 0.0000 0.0000
2.3886 4.5494 0.0000
1.6093 0.5768 10.3043
Mg Ti Mn O
1 2 4 12
direct
0.0000 0.0000 0.0000
0.0532 0.3775 0.7345
0.5884 0.9011 0.2725
0.2519 0.5632 0.2511
0.3905 0.7138 0.7557
0.7221 0.0473 0.7592
0.9176 0.2328 0.2544
0.0264 0.7271 0.8553
0.0415 0.0897 0.6511
0.2282 0.2180 0.3448
0.2500 0.9208 0.1541
0.3576 0.0310 0.8533
0.4226 0.3818 0.6698
0.5678 0.5451 0.3411
0.6657 0.1935 0.1465
0.7466 0.7295 0.6655
0.7516 0.3154 0.8627
0.8624 0.9217 0.3588
0.9451 0.5764 0.1588
```

=====

No. 3
Calculated powder XRD pattern
Compound: MgV12B4O20
Radiation: CuKα
Structure: the GGA+U geometry in the Materials Project
Lines closer than 0.1° are merged.

Most intense lines, 10 to 90 degrees two-theta, by angle:
2θ = 16.6°, rel. 22.4
2θ = 32.3°, rel. 25.5
2θ = 33.6°, rel. 44.5
2θ = 34.0°, rel. 100.0
2θ = 37.0°, rel. 20.1
2θ = 38.3°, rel. 30.4
2θ = 45.8°, rel. 30.8
2θ = 49.0°, rel. 18.9
2θ = 58.9°, rel. 29.5
2θ = 65.3°, rel. 17.8

Structure:
```
MgV12B4O20
1.0
9.7219 0.0000 0.0000
0.0000 3.1364 0.0000
-0.5350 0.0000 13.1167
Mg V B O
1 12 4 20
direct
0.0000 0.0000 0.0000
0.0690 0.0000 0.6189
0.0723 0.5000 0.4133
0.0749 0.0000 0.2060
0.1207 0.0000 0.8299
0.3130 0.5000 0.0287
0.3333 0.5000 0.5208
0.5576 0.0000 0.1441
0.5679 0.5000 0.9147
0.5717 0.0000 0.4144
0.5845 0.0000 0.6864
0.8111 0.5000 0.3083
0.8306 0.5000 0.8002
0.3225 0.5000 0.7581
0.3427 0.5000 0.2770
0.8004 0.5000 0.5511
0.8149 0.5000 0.0714
0.1785 0.0000 0.0653
0.1860 0.0000 0.4880
0.1979 0.5000 0.2774
0.2353 0.5000 0.6706
0.2583 0.5000 0.8539
0.4081 0.5000 0.1846
0.4177 0.5000 0.3696
0.4533 0.0000 0.9948
0.4626 0.0000 0.5500
0.4625 0.5000 0.7588
0.6761 0.5000 0.0715
0.6818 0.0000 0.2795
0.6891 0.0000 0.8363
0.7252 0.5000 0.4587
0.7349 0.5000 0.6437
0.8804 0.5000 0.9766
0.9067 0.5000 0.1565
0.9452 0.5000 0.5492
0.9514 0.0000 0.7524
0.9594 0.0000 0.3388
```